Calculated powder XRD pattern
Compound: Ba3Tl4Pd4
Radiation: Cu Kα, 1.54184 Å
Structure: a cell relaxed with GGA-PBE

The 10 most intense peaks (10° ≤ 2θ ≤ 90°), most intense first:
| two_theta | d (Å) | I_rel |
| --- | --- | --- |
| 29.42 | 3.036 | 100.0 |
| 31.84 | 2.810 | 69.6 |
| 36.52 | 2.460 | 50.0 |
| 39.17 | 2.300 | 47.2 |
| 33.66 | 2.663 | 46.6 |
| 54.63 | 1.680 | 31.6 |
| 34.32 | 2.613 | 29.3 |
| 39.50 | 2.281 | 28.7 |
| 40.97 | 2.203 | 27.2 |
| 11.29 | 7.840 | 24.2 |

Atomic structure:
Cell lengths 9.1784, 9.1784, 9.1784 Å; angles 150.98, 125.78, 62.67 degrees
Sites, in units of the cell vectors:
1 Ba 0.0000 0.0000 0.0000
2 Ba 0.3761 0.8761 0.5000
3 Ba 0.6239 0.1239 0.5000
4 Tl 0.0260 0.3304 0.6956
5 Tl 0.3652 0.6696 0.6956
6 Tl 0.6348 0.3304 0.3044
7 Tl 0.9740 0.6696 0.3044
8 Pd 0.2160 0.2160 0.0000
9 Pd 0.3187 0.5000 0.8187
10 Pd 0.6813 0.5000 0.1813
11 Pd 0.7840 0.7840 0.0000